[1]
Simulated powder diffraction line list
Compound: Ba8Pt3I
Radiation: Cu Kα X-rays
Structure: a cell relaxed with PBE
Kinematic intensities with the Lorentz-polarization factor, no thermal factor.

The 10 most intense peaks (2θ from 10° to 90°), by angle:
11.8 deg, intensity 48.3; 21.8 deg, intensity 24.4; 26.7 deg, intensity 100.0; 35.3 deg, intensity 14.7; 37.6 deg, intensity 38.2; 38.7 deg, intensity 36.1; 39.5 deg, intensity 15.5; 46.7 deg, intensity 19.6; 61.4 deg, intensity 15.5; 62.9 deg, intensity 15.5

Structure:
a = 9.321 Å, b = 9.321 Å, c = 9.321 Å
α = 61.82°, β = 61.82°, γ = 61.82°
Positions (direct):
Ba1 0.213 0.762 0.762
Ba2 0.238 0.238 0.787
Ba3 0.238 0.787 0.238
Ba4 0.242 0.242 0.242
Ba5 0.758 0.758 0.758
Ba6 0.762 0.213 0.762
Ba7 0.762 0.762 0.213
Ba8 0.787 0.238 0.238
Pt1 0.000 0.000 0.500
Pt2 0.000 0.500 0.000
Pt3 0.500 0.000 0.000
I1 0.500 0.500 0.500

[2]
Simulated powder diffraction line list
Compound: PuTlF6
Radiation: Cu Kα X-rays
Structure: a cell relaxed with PBE
Kinematic intensities with the Lorentz-polarization factor, no thermal factor.

The 10 most intense peaks (2θ from 10° to 90°), by angle:
22.0 deg, intensity 100.0; 25.1 deg, intensity 74.5; 33.7 deg, intensity 27.2; 38.7 deg, intensity 19.1; 40.6 deg, intensity 58.3; 45.0 deg, intensity 18.3; 46.0 deg, intensity 13.1; 52.2 deg, intensity 18.0; 56.8 deg, intensity 21.8; 60.8 deg, intensity 14.0

Structure:
a = 5.402 Å, b = 5.402 Å, c = 5.402 Å
α = 96.55°, β = 96.55°, γ = 96.55°
Positions (direct):
Pu1 0.000 0.000 0.000
Tl1 0.500 0.500 0.500
F1 0.087 0.731 0.731
F2 0.269 0.269 0.913
F3 0.269 0.913 0.269
F4 0.731 0.087 0.731
F5 0.731 0.731 0.087
F6 0.913 0.269 0.269

[3]
Simulated powder diffraction line list
Compound: Li4AgI5
Radiation: Cu Kα X-rays
Structure: a cell relaxed with PBE
Kinematic intensities with the Lorentz-polarization factor, no thermal factor.

The 10 most intense peaks (2θ from 10° to 90°), by angle:
22.3 deg, intensity 47.6; 23.9 deg, intensity 34.3; 25.4 deg, intensity 100.0; 32.9 deg, intensity 25.4; 39.2 deg, intensity 41.6; 43.0 deg, intensity 41.0; 46.4 deg, intensity 33.9; 47.2 deg, intensity 18.2; 59.5 deg, intensity 15.3; 73.6 deg, intensity 16.4

Structure:
a = 4.601 Å, b = 4.601 Å, c = 37.196 Å
α = 90.00°, β = 90.00°, γ = 120.00°
Positions (direct):
Li1 0.000 0.000 0.000
Li2 0.000 0.000 0.197
Li3 0.000 0.000 0.395
Li4 0.000 0.000 0.592
Li5 0.000 0.000 0.797
Li6 0.667 0.333 0.098
Li7 0.667 0.333 0.296
Li8 0.667 0.333 0.493
Ag1 0.667 0.333 0.692
Ag2 0.667 0.333 0.896
I1 0.000 0.000 0.122
I2 0.000 0.000 0.320
I3 0.000 0.000 0.517
I4 0.000 0.000 0.721
I5 0.000 0.000 0.925
I6 0.667 0.333 0.023
I7 0.667 0.333 0.221
I8 0.667 0.333 0.418
I9 0.667 0.333 0.616
I10 0.667 0.333 0.819

[4]
Simulated powder diffraction line list
Compound: CrTc3
Radiation: Cu Kα X-rays
Structure: a cell relaxed with PBE
Kinematic intensities with the Lorentz-polarization factor, no thermal factor.

The 10 most intense peaks (2θ from 10° to 90°), by angle:
10.2 deg, intensity 9.0; 38.1 deg, intensity 25.9; 39.5 deg, intensity 3.7; 41.5 deg, intensity 25.3; 43.6 deg, intensity 100.0; 57.6 deg, intensity 14.7; 68.8 deg, intensity 16.2; 77.2 deg, intensity 16.9; 83.7 deg, intensity 18.5; 85.1 deg, intensity 13.6

Structure:
a = 2.727 Å, b = 2.727 Å, c = 8.699 Å
α = 90.00°, β = 90.00°, γ = 120.00°
Positions (direct):
Cr1 0.000 0.000 0.000
Tc1 0.000 0.000 0.500
Tc2 0.333 0.667 0.244
Tc3 0.333 0.667 0.756

[5]
Simulated powder diffraction line list
Compound: Pm2ThP3
Radiation: Cu Kα X-rays
Structure: a cell relaxed with PBE
Kinematic intensities with the Lorentz-polarization factor, no thermal factor.

The 10 most intense peaks (2θ from 10° to 90°), by angle:
26.4 deg, intensity 91.6; 30.6 deg, intensity 100.0; 43.8 deg, intensity 62.0; 43.9 deg, intensity 12.3; 51.8 deg, intensity 30.7; 51.9 deg, intensity 15.3; 54.3 deg, intensity 13.4; 54.4 deg, intensity 13.1; 72.2 deg, intensity 22.6; 80.3 deg, intensity 12.8

Structure:
a = 7.154 Å, b = 7.154 Å, c = 7.154 Å
α = 146.34°, β = 131.70°, γ = 60.16°
Positions (direct):
Pm1 0.167 0.167 0.000
Pm2 0.833 0.833 0.000
Th1 0.500 0.500 0.000
P1 0.000 0.500 0.500
P2 0.335 0.835 0.500
P3 0.665 0.165 0.500

[6]
Simulated powder diffraction line list
Compound: Pr4Sm5Hg
Radiation: Cu Kα X-rays
Structure: a cell relaxed with PBE
Kinematic intensities with the Lorentz-polarization factor, no thermal factor.

The 10 most intense peaks (2θ from 10° to 90°), by angle:
30.3 deg, intensity 100.0; 32.7 deg, intensity 6.5; 34.3 deg, intensity 41.3; 36.6 deg, intensity 9.7; 49.3 deg, intensity 14.9; 51.1 deg, intensity 15.1; 58.2 deg, intensity 7.1; 59.0 deg, intensity 30.3; 63.0 deg, intensity 8.0; 82.6 deg, intensity 6.8

Structure:
a = 3.694 Å, b = 3.694 Å, c = 24.547 Å
α = 90.00°, β = 90.00°, γ = 90.00°
Positions (direct):
Pr1 0.000 0.000 0.105
Pr2 0.000 0.000 0.315
Pr3 0.000 0.000 0.685
Pr4 0.000 0.000 0.895
Sm1 0.500 0.500 0.000
Sm2 0.500 0.500 0.210
Sm3 0.500 0.500 0.419
Sm4 0.500 0.500 0.581
Sm5 0.500 0.500 0.790
Hg1 0.000 0.000 0.500